# Li3NiAsCO7
Calculated powder XRD pattern, copper Kα. Input: a GGA+U-relaxed structure.
No peak broadening, texture or thermal motion is included.

Crystal structure
```
data_Li3NiAsCO7
_symmetry_space_group_name_H-M 'P 1'
_symmetry_Int_Tables_number 1
_symmetry_space_group_name_Hall 'P 1'
_cell_length_a 5.067
_cell_length_b 6.557
_cell_length_c 8.534
_cell_angle_alpha 90.00
_cell_angle_beta 95.08
_cell_angle_gamma 90.00
loop_
_atom_site_label
_atom_site_fract_x
_atom_site_fract_y
_atom_site_fract_z
Li1 0.212 0.250 0.099
Li2 0.256 0.516 0.734
Li3 0.256 0.984 0.734
Li4 0.744 0.016 0.266
Li5 0.744 0.484 0.266
Li6 0.788 0.750 0.901
Ni1 0.207 0.750 0.322
Ni2 0.793 0.250 0.678
As1 0.276 0.250 0.416
As2 0.724 0.750 0.584
C1 0.317 0.750 0.036
C2 0.683 0.250 0.964
O1 0.072 0.750 0.067
O2 0.163 0.054 0.293
O3 0.163 0.446 0.293
O4 0.165 0.250 0.599
O5 0.381 0.750 0.557
O6 0.384 0.750 0.892
O7 0.499 0.750 0.154
O8 0.501 0.250 0.846
O9 0.616 0.250 0.108
O10 0.619 0.250 0.443
O11 0.835 0.750 0.401
O12 0.837 0.554 0.707
O13 0.837 0.946 0.707
O14 0.928 0.250 0.933
```

Principal peaks in the range 2θ from 10° to 80°, sorted by position:
2θ = 10.41°, I = 100.0; 2θ = 19.64°, I = 35.4; 2θ = 21.25°, I = 38.1; 2θ = 25.27°, I = 33.4; 2θ = 26.19°, I = 33.6; 2θ = 27.20°, I = 76.6